Rb3TmCl6: theoretical powder diffraction line list (Cu Kα), based on DFT lattice parameters and positions (PBE).
Kinematic intensities with the Lorentz-polarization factor, no thermal factor.

Most intense lines, 10° ≤ 2θ ≤ 90°, sorted by position:
2θ 13.4, d = 6.593 Å, rel. 20.4
2θ 15.5, d = 5.710 Å, rel. 22.8
2θ 22.0, d = 4.038 Å, rel. 100.0
2θ 31.3, d = 2.855 Å, rel. 64.7
2θ 38.6, d = 2.331 Å, rel. 45.0
2θ 44.9, d = 2.019 Å, rel. 43.7
2θ 50.5, d = 1.806 Å, rel. 24.7
2θ 60.7, d = 1.526 Å, rel. 27.2
2θ 74.3, d = 1.277 Å, rel. 17.2
2θ 87.0, d = 1.120 Å, rel. 15.3

Structure:
```
data_Rb3TmCl6
_cell_length_a 8.075
_cell_length_b 8.075
_cell_length_c 8.075
_cell_angle_alpha 60.00
_cell_angle_beta 60.00
_cell_angle_gamma 60.00
_space_group_name_H-M_alt 'P 1'
_space_group_IT_number 1
loop_
_space_group_symop_operation_xyz
'x,y,z'
loop_
_atom_site_label
_atom_site_type_symbol
_atom_site_fract_x
_atom_site_fract_y
_atom_site_fract_z
_atom_site_occupancy
Rb1 Rb 0.000 0.000 0.000 1
Rb2 Rb 0.250 0.250 0.250 1
Rb3 Rb 0.750 0.750 0.750 1
Tm1 Tm 0.500 0.500 0.500 1
Cl1 Cl 0.272 0.272 0.728 1
Cl2 Cl 0.272 0.728 0.272 1
Cl3 Cl 0.272 0.728 0.728 1
Cl4 Cl 0.728 0.272 0.272 1
Cl5 Cl 0.728 0.272 0.728 1
Cl6 Cl 0.728 0.728 0.272 1
```

Rb3TmCl6: theoretical powder diffraction line list (Cu Kα), based on DFT lattice parameters and positions (PBE).
Kinematic intensities with the Lorentz-polarization factor, no thermal factor.

Most intense lines, 10° ≤ 2θ ≤ 90°, sorted by position:
2θ 13.8, d = 6.404 Å, rel. 62.3
2θ 16.0, d = 5.550 Å, rel. 34.6
2θ 22.3, d = 3.988 Å, rel. 32.1
2θ 22.7, d = 3.925 Å, rel. 73.8
2θ 23.0, d = 3.864 Å, rel. 25.7
2θ 23.5, d = 3.789 Å, rel. 100.0
2θ 31.0, d = 2.887 Å, rel. 23.3
2θ 32.3, d = 2.775 Å, rel. 82.9
2θ 33.4, d = 2.680 Å, rel. 28.2
2θ 48.0, d = 1.895 Å, rel. 28.6

Structure:
```
data_Rb3TmCl6
_cell_length_a 13.620
_cell_length_b 13.620
_cell_length_c 12.919
_cell_angle_alpha 99.20
_cell_angle_beta 99.20
_cell_angle_gamma 34.05
_space_group_name_H-M_alt 'P 1'
_space_group_IT_number 1
loop_
_space_group_symop_operation_xyz
'x,y,z'
loop_
_atom_site_label
_atom_site_type_symbol
_atom_site_fract_x
_atom_site_fract_y
_atom_site_fract_z
_atom_site_occupancy
Rb1 Rb 0.034 0.659 0.856 1
Rb2 Rb 0.151 0.525 0.200 1
Rb3 Rb 0.197 0.703 0.567 1
Rb4 Rb 0.297 0.803 0.933 1
Rb5 Rb 0.341 0.966 0.644 1
Rb6 Rb 0.475 0.849 0.300 1
Rb7 Rb 0.525 0.151 0.700 1
Rb8 Rb 0.659 0.034 0.356 1
Rb9 Rb 0.703 0.197 0.067 1
Rb10 Rb 0.803 0.297 0.433 1
Rb11 Rb 0.849 0.475 0.800 1
Rb12 Rb 0.966 0.341 0.144 1
Tm1 Tm 0.000 0.500 0.500 1
Tm2 Tm 0.284 0.716 0.250 1
Tm3 Tm 0.500 0.000 0.000 1
Tm4 Tm 0.716 0.284 0.750 1
Cl1 Cl 0.002 0.115 0.680 1
Cl2 Cl 0.115 0.002 0.180 1
Cl3 Cl 0.122 0.225 0.419 1
Cl4 Cl 0.138 0.361 0.684 1
Cl5 Cl 0.218 0.667 0.067 1
Cl6 Cl 0.225 0.122 0.919 1
Cl7 Cl 0.281 0.364 0.465 1
Cl8 Cl 0.333 0.782 0.433 1
Cl9 Cl 0.361 0.138 0.184 1
Cl10 Cl 0.364 0.281 0.965 1
Cl11 Cl 0.417 0.467 0.804 1
Cl12 Cl 0.467 0.417 0.304 1
Cl13 Cl 0.533 0.583 0.696 1
Cl14 Cl 0.583 0.533 0.196 1
Cl15 Cl 0.636 0.719 0.035 1
Cl16 Cl 0.639 0.862 0.816 1
Cl17 Cl 0.667 0.218 0.567 1
Cl18 Cl 0.719 0.636 0.535 1
Cl19 Cl 0.775 0.878 0.081 1
Cl20 Cl 0.782 0.333 0.933 1
Cl21 Cl 0.862 0.639 0.316 1
Cl22 Cl 0.878 0.775 0.581 1
Cl23 Cl 0.885 0.998 0.820 1
Cl24 Cl 0.998 0.885 0.320 1
```

Rb2UCl5: theoretical powder diffraction line list (Cu Kα), based on DFT lattice parameters and positions (PBE).
Kinematic intensities with the Lorentz-polarization factor, no thermal factor.

Most intense lines, 10° ≤ 2θ ≤ 90°, sorted by position:
2θ 12.4, d = 7.113 Å, rel. 81.9
2θ 13.1, d = 6.734 Å, rel. 42.1
2θ 22.5, d = 3.957 Å, rel. 85.4
2θ 23.4, d = 3.806 Å, rel. 100.0
2θ 23.8, d = 3.744 Å, rel. 56.9
2θ 32.1, d = 2.791 Å, rel. 53.3
2θ 33.2, d = 2.697 Å, rel. 42.7
2θ 36.2, d = 2.480 Å, rel. 38.0
2θ 40.5, d = 2.228 Å, rel. 46.1
2θ 46.4, d = 1.957 Å, rel. 43.8

Structure:
```
data_Rb2UCl5
_cell_length_a 13.467
_cell_length_b 9.011
_cell_length_c 8.376
_cell_angle_alpha 90.00
_cell_angle_beta 90.00
_cell_angle_gamma 90.00
_space_group_name_H-M_alt 'P 1'
_space_group_IT_number 1
loop_
_space_group_symop_operation_xyz
'x,y,z'
loop_
_atom_site_label
_atom_site_type_symbol
_atom_site_fract_x
_atom_site_fract_y
_atom_site_fract_z
_atom_site_occupancy
Rb1 Rb 0.170 0.005 0.056 1
Rb2 Rb 0.170 0.495 0.056 1
Rb3 Rb 0.330 0.505 0.556 1
Rb4 Rb 0.330 0.995 0.556 1
Rb5 Rb 0.670 0.005 0.444 1
Rb6 Rb 0.670 0.495 0.444 1
Rb7 Rb 0.830 0.505 0.944 1
Rb8 Rb 0.830 0.995 0.944 1
U1 U 0.003 0.250 0.566 1
U2 U 0.497 0.750 0.066 1
U3 U 0.503 0.250 0.934 1
U4 U 0.997 0.750 0.434 1
Cl1 Cl 0.010 0.250 0.905 1
Cl2 Cl 0.072 0.541 0.660 1
Cl3 Cl 0.072 0.959 0.660 1
Cl4 Cl 0.176 0.250 0.383 1
Cl5 Cl 0.197 0.750 0.347 1
Cl6 Cl 0.303 0.250 0.847 1
Cl7 Cl 0.324 0.750 0.883 1
Cl8 Cl 0.428 0.041 0.160 1
Cl9 Cl 0.428 0.459 0.160 1
Cl10 Cl 0.490 0.750 0.405 1
Cl11 Cl 0.510 0.250 0.595 1
Cl12 Cl 0.572 0.541 0.840 1
Cl13 Cl 0.572 0.959 0.840 1
Cl14 Cl 0.676 0.250 0.117 1
Cl15 Cl 0.697 0.750 0.153 1
Cl16 Cl 0.803 0.250 0.653 1
Cl17 Cl 0.824 0.750 0.617 1
Cl18 Cl 0.928 0.041 0.340 1
Cl19 Cl 0.928 0.459 0.340 1
Cl20 Cl 0.990 0.750 0.095 1
```

Rb2WCl6: theoretical powder diffraction line list (Cu Kα), based on DFT lattice parameters and positions (PBE).
Kinematic intensities with the Lorentz-polarization factor, no thermal factor.

Most intense lines, 10° ≤ 2θ ≤ 90°, sorted by position:
2θ 15.0, d = 5.923 Å, rel. 100.0
2θ 24.5, d = 3.627 Å, rel. 90.7
2θ 28.9, d = 3.093 Å, rel. 45.4
2θ 35.0, d = 2.565 Å, rel. 72.0
2θ 43.2, d = 2.094 Å, rel. 40.5
2θ 46.0, d = 1.974 Å, rel. 24.2
2θ 50.3, d = 1.813 Å, rel. 47.3
2θ 52.8, d = 1.734 Å, rel. 22.8
2θ 56.8, d = 1.622 Å, rel. 20.7
2θ 68.4, d = 1.371 Å, rel. 23.0

Structure:
```
data_Rb2WCl6
_cell_length_a 7.254
_cell_length_b 7.254
_cell_length_c 7.254
_cell_angle_alpha 60.00
_cell_angle_beta 60.00
_cell_angle_gamma 60.00
_space_group_name_H-M_alt 'P 1'
_space_group_IT_number 1
loop_
_space_group_symop_operation_xyz
'x,y,z'
loop_
_atom_site_label
_atom_site_type_symbol
_atom_site_fract_x
_atom_site_fract_y
_atom_site_fract_z
_atom_site_occupancy
Rb1 Rb 0.250 0.250 0.250 1
Rb2 Rb 0.750 0.750 0.750 1
W1 W 0.000 0.000 0.000 1
Cl1 Cl 0.234 0.234 0.766 1
Cl2 Cl 0.234 0.766 0.234 1
Cl3 Cl 0.234 0.766 0.766 1
Cl4 Cl 0.766 0.234 0.234 1
Cl5 Cl 0.766 0.234 0.766 1
Cl6 Cl 0.766 0.766 0.234 1
```

Copy entry 3 word for word.
Rb2UCl5: theoretical powder diffraction line list (Cu Kα), based on DFT lattice parameters and positions (PBE).
Kinematic intensities with the Lorentz-polarization factor, no thermal factor.

Most intense lines, 10° ≤ 2θ ≤ 90°, sorted by position:
2θ 12.4, d = 7.113 Å, rel. 81.9
2θ 13.1, d = 6.734 Å, rel. 42.1
2θ 22.5, d = 3.957 Å, rel. 85.4
2θ 23.4, d = 3.806 Å, rel. 100.0
2θ 23.8, d = 3.744 Å, rel. 56.9
2θ 32.1, d = 2.791 Å, rel. 53.3
2θ 33.2, d = 2.697 Å, rel. 42.7
2θ 36.2, d = 2.480 Å, rel. 38.0
2θ 40.5, d = 2.228 Å, rel. 46.1
2θ 46.4, d = 1.957 Å, rel. 43.8

Structure:
```
data_Rb2UCl5
_cell_length_a 13.467
_cell_length_b 9.011
_cell_length_c 8.376
_cell_angle_alpha 90.00
_cell_angle_beta 90.00
_cell_angle_gamma 90.00
_space_group_name_H-M_alt 'P 1'
_space_group_IT_number 1
loop_
_space_group_symop_operation_xyz
'x,y,z'
loop_
_atom_site_label
_atom_site_type_symbol
_atom_site_fract_x
_atom_site_fract_y
_atom_site_fract_z
_atom_site_occupancy
Rb1 Rb 0.170 0.005 0.056 1
Rb2 Rb 0.170 0.495 0.056 1
Rb3 Rb 0.330 0.505 0.556 1
Rb4 Rb 0.330 0.995 0.556 1
Rb5 Rb 0.670 0.005 0.444 1
Rb6 Rb 0.670 0.495 0.444 1
Rb7 Rb 0.830 0.505 0.944 1
Rb8 Rb 0.830 0.995 0.944 1
U1 U 0.003 0.250 0.566 1
U2 U 0.497 0.750 0.066 1
U3 U 0.503 0.250 0.934 1
U4 U 0.997 0.750 0.434 1
Cl1 Cl 0.010 0.250 0.905 1
Cl2 Cl 0.072 0.541 0.660 1
Cl3 Cl 0.072 0.959 0.660 1
Cl4 Cl 0.176 0.250 0.383 1
Cl5 Cl 0.197 0.750 0.347 1
Cl6 Cl 0.303 0.250 0.847 1
Cl7 Cl 0.324 0.750 0.883 1
Cl8 Cl 0.428 0.041 0.160 1
Cl9 Cl 0.428 0.459 0.160 1
Cl10 Cl 0.490 0.750 0.405 1
Cl11 Cl 0.510 0.250 0.595 1
Cl12 Cl 0.572 0.541 0.840 1
Cl13 Cl 0.572 0.959 0.840 1
Cl14 Cl 0.676 0.250 0.117 1
Cl15 Cl 0.697 0.750 0.153 1
Cl16 Cl 0.803 0.250 0.653 1
Cl17 Cl 0.824 0.750 0.617 1
Cl18 Cl 0.928 0.041 0.340 1
Cl19 Cl 0.928 0.459 0.340 1
Cl20 Cl 0.990 0.750 0.095 1
```